Entry 1:
Diffraction record for HfCrCuS4. The PXRD pattern is theoretical, not measured: it uses a structure optimized by DFT (GGA-PBE) and a wavelength of 1.5418 Å.
Peak positions follow from Bragg's law for the DFT cell and can differ from measured ones.

Most intense lines, 15° ≤ 2θ ≤ 90°, by angle:
21.5°, I = 100.0
27.8°, I = 55.8
29.3°, I = 99.9
33.8°, I = 57.4
33.9°, I = 26.1
42.3°, I = 32.3
48.9°, I = 48.4
49.0°, I = 23.4
50.3°, I = 40.6
54.0°, I = 30.8

Atomic structure:
```
HfCrCuS4
1.0
6.4581 0.0000 0.0000
0.0031 7.4324 0.0000
1.1056 1.9207 12.3939
Hf Cr Cu S
4 4 4 16
direct
0.0000 0.0000 0.0000
0.1032 0.1773 0.3024
0.4800 0.7478 0.0001
0.8694 0.3249 0.7004
0.3897 0.5829 0.7060
0.6043 0.4376 0.2939
0.6049 0.9210 0.2984
0.8605 0.8260 0.7017
0.1160 0.6795 0.2999
0.3739 0.0768 0.7019
0.4898 0.2613 0.9974
0.9912 0.5155 0.0037
0.0559 0.0837 0.6280
0.0675 0.6053 0.6334
0.1394 0.2337 0.1087
0.1388 0.7266 0.1131
0.3379 0.5269 0.8876
0.3437 0.0297 0.8899
0.4342 0.6607 0.3616
0.4459 0.1626 0.3709
0.5344 0.3468 0.6293
0.5498 0.8429 0.6370
0.6397 0.9733 0.1127
0.6421 0.4732 0.1125
0.8375 0.2836 0.8945
0.8385 0.7825 0.8885
0.9181 0.4252 0.3686
0.9198 0.8980 0.3716
```

=====

Entry 2:
Diffraction record for HfCrCuS4. The PXRD pattern is theoretical, not measured: it uses a structure optimized by DFT (GGA-PBE) and a wavelength of 1.5418 Å.
Peak positions follow from Bragg's law for the DFT cell and can differ from measured ones.

Most intense lines, 15° ≤ 2θ ≤ 90°, by angle:
17.2°, I = 68.0
22.4°, I = 50.6
26.1°, I = 37.4
27.5°, I = 81.8
28.0°, I = 42.5
29.9°, I = 100.0
32.9°, I = 43.1
38.8°, I = 45.4
40.8°, I = 86.7
50.2°, I = 38.2

Atomic structure:
```
HfCrCuS4
1.0
3.5494 0.0000 0.0000
0.0000 11.3142 0.0000
0.0000 0.0000 12.7277
Hf Cr Cu S
4 4 4 16
direct
0.0000 0.1402 0.0000
0.0000 0.6870 0.1919
0.5000 0.3130 0.6919
0.5000 0.8598 0.5000
0.0000 0.2075 0.4602
0.0000 0.6819 0.6698
0.5000 0.3181 0.1698
0.5000 0.7925 0.9602
0.0000 0.4462 0.4019
0.0000 0.9726 0.2208
0.5000 0.0274 0.7208
0.5000 0.5538 0.9019
0.0000 0.1625 0.6410
0.0000 0.2929 0.2880
0.0000 0.3530 0.0439
0.0000 0.4587 0.7442
0.0000 0.6403 0.0015
0.0000 0.8298 0.3598
0.0000 0.8901 0.6432
0.0000 0.9251 0.9279
0.5000 0.0749 0.4279
0.5000 0.1099 0.1432
0.5000 0.1703 0.8598
0.5000 0.3597 0.5015
0.5000 0.5413 0.2442
0.5000 0.6470 0.5439
0.5000 0.7071 0.7880
0.5000 0.8375 0.1410
```

=====

Entry 3:
Diffraction record for HfCrCuS4. The PXRD pattern is theoretical, not measured: it uses a structure optimized by DFT (GGA-PBE) and a wavelength of 1.5418 Å.
Peak positions follow from Bragg's law for the DFT cell and can differ from measured ones.

Most intense lines, 15° ≤ 2θ ≤ 90°, by angle:
15.1°, I = 100.0
16.4°, I = 53.7
16.6°, I = 42.7
29.0°, I = 82.2
29.6°, I = 38.8
33.0°, I = 79.9
33.2°, I = 40.2
42.4°, I = 67.9
42.7°, I = 70.3
52.1°, I = 49.7

Atomic structure:
```
HfCrCuS4
1.0
13.1214 0.0000 0.0000
0.0000 3.5758 0.0000
-2.7004 0.0000 5.4037
Hf Cr Cu S
2 2 2 8
direct
0.0000 0.0000 0.0000
0.5000 0.5000 0.0000
0.4875 0.0000 0.5129
0.9875 0.5000 0.5129
0.2444 0.5000 0.7397
0.7444 0.0000 0.7397
0.1082 0.0000 0.4738
0.1235 0.5000 0.9547
0.3683 0.5000 0.5433
0.3751 0.0000 0.0643
0.6082 0.5000 0.4738
0.6235 0.0000 0.9547
0.8683 0.0000 0.5433
0.8751 0.5000 0.0643
```

=====

Entry 4:
Diffraction record for HfCrCuS4. The PXRD pattern is theoretical, not measured: it uses a structure optimized by DFT (GGA-PBE) and a wavelength of 1.5418 Å.
Peak positions follow from Bragg's law for the DFT cell and can differ from measured ones.

Most intense lines, 15° ≤ 2θ ≤ 90°, by angle:
19.3°, I = 37.7
29.3°, I = 100.0
29.5°, I = 50.4
32.6°, I = 45.7
33.3°, I = 94.6
41.7°, I = 53.9
42.0°, I = 77.4
42.9°, I = 81.1
43.5°, I = 40.1
52.1°, I = 60.5

Atomic structure:
```
HfCrCuS4
1.0
5.9450 0.0000 0.0000
0.0000 7.0639 0.0000
-0.2550 0.0000 6.0626
Hf Cr Cu S
2 2 2 8
direct
0.0000 0.0000 0.0000
0.0000 0.2759 0.5000
0.0000 0.5103 0.0000
0.0000 0.7636 0.5000
0.5000 0.2666 0.5000
0.5000 0.7560 0.5000
0.2333 0.7482 0.1858
0.2431 0.5247 0.6838
0.2457 0.2673 0.1702
0.2504 0.0061 0.6686
0.7496 0.0061 0.3314
0.7543 0.2673 0.8298
0.7569 0.5247 0.3162
0.7667 0.7482 0.8142
```

=====

Entry 5:
Diffraction record for HfCrCuS4. The PXRD pattern is theoretical, not measured: it uses a structure optimized by DFT (GGA-PBE) and a wavelength of 1.5418 Å.
Peak positions follow from Bragg's law for the DFT cell and can differ from measured ones.

Most intense lines, 15° ≤ 2θ ≤ 90°, by angle:
15.4°, I = 40.6
18.0°, I = 47.7
20.4°, I = 33.4
24.3°, I = 100.0
26.2°, I = 35.0
26.8°, I = 40.0
33.4°, I = 38.1
36.2°, I = 43.6
36.5°, I = 75.8
43.4°, I = 74.7

Atomic structure:
```
HfCrCuS4
1.0
7.3165 0.0000 0.0000
0.0000 6.6500 0.0000
0.0000 0.0000 11.5120
Hf Cr Cu S
4 4 4 16
direct
0.0000 0.1716 0.0000
0.0000 0.2986 0.7022
0.5000 0.7014 0.2022
0.5000 0.8284 0.5000
0.0000 0.6529 0.5414
0.0000 0.8029 0.7862
0.5000 0.1971 0.2862
0.5000 0.3471 0.0414
0.0000 0.0337 0.3868
0.0000 0.5645 0.1086
0.5000 0.4355 0.6086
0.5000 0.9663 0.8868
0.0000 0.3498 0.4726
0.0000 0.5140 0.9094
0.0000 0.8988 0.1265
0.0000 0.9747 0.6052
0.2128 0.0630 0.8461
0.2310 0.5926 0.6768
0.2690 0.4074 0.1768
0.2872 0.9370 0.3461
0.5000 0.0253 0.1052
0.5000 0.1013 0.6265
0.5000 0.4860 0.4094
0.5000 0.6502 0.9726
0.7128 0.9370 0.3461
0.7310 0.4074 0.1768
0.7690 0.5926 0.6768
0.7872 0.0630 0.8461
```

=====

Entry 6:
Diffraction record for HfCrCuS4. The PXRD pattern is theoretical, not measured: it uses a structure optimized by DFT (GGA-PBE) and a wavelength of 1.5418 Å.
Peak positions follow from Bragg's law for the DFT cell and can differ from measured ones.

Most intense lines, 15° ≤ 2θ ≤ 90°, by angle:
15.0°, I = 66.8
17.5°, I = 18.7
24.6°, I = 23.0
29.1°, I = 100.0
29.2°, I = 52.1
35.2°, I = 42.7
35.4°, I = 21.0
46.2°, I = 44.2
50.8°, I = 76.8
59.6°, I = 16.7

Atomic structure:
```
HfCrCuS4
1.0
-3.6011 3.6178 5.0690
3.6011 -3.6178 5.0690
3.6011 3.6178 -5.0690
Hf Cr Cu S
2 2 2 8
direct
0.5000 0.0000 0.0000
0.5000 0.5000 0.5000
0.0000 0.0000 0.0000
0.5000 0.0000 0.5000
0.1290 0.3790 0.7500
0.8710 0.6210 0.2500
0.2430 0.2401 0.0029
0.2490 0.2286 0.4796
0.2490 0.7695 0.0204
0.2628 0.7599 0.5029
0.7372 0.2401 0.4971
0.7510 0.2305 0.9796
0.7510 0.7714 0.5204
0.7570 0.7599 0.9971
```

=====

Entry 7:
Diffraction record for HfCrCuS4. The PXRD pattern is theoretical, not measured: it uses a structure optimized by DFT (GGA-PBE) and a wavelength of 1.5418 Å.
Peak positions follow from Bragg's law for the DFT cell and can differ from measured ones.

Most intense lines, 15° ≤ 2θ ≤ 90°, by angle:
15.7°, I = 100.0
16.8°, I = 45.0
29.6°, I = 32.9
32.7°, I = 23.7
33.7°, I = 34.1
37.2°, I = 64.9
38.1°, I = 31.1
40.4°, I = 25.0
40.9°, I = 32.5
51.7°, I = 41.2

Atomic structure:
```
HfCrCuS4
1.0
11.5820 0.0000 0.0000
0.0000 3.5393 0.0000
0.0000 0.0000 12.9288
Hf Cr Cu S
4 4 4 16
direct
0.1527 0.2500 0.1667
0.3473 0.7500 0.6667
0.6527 0.2500 0.3333
0.8473 0.7500 0.8333
0.1110 0.2500 0.5617
0.3890 0.7500 0.0617
0.6110 0.2500 0.9383
0.8890 0.7500 0.4383
0.0966 0.7500 0.9814
0.4034 0.2500 0.4814
0.5966 0.7500 0.5186
0.9034 0.2500 0.0186
0.0032 0.2500 0.8658
0.0190 0.2500 0.3936
0.2181 0.2500 0.7317
0.2481 0.7500 0.4999
0.2519 0.2500 0.9999
0.2819 0.7500 0.2317
0.4810 0.7500 0.8936
0.4968 0.7500 0.3658
0.5032 0.2500 0.6342
0.5190 0.2500 0.1064
0.7181 0.2500 0.7683
0.7481 0.7500 0.0001
0.7519 0.2500 0.5001
0.7819 0.7500 0.2683
0.9810 0.7500 0.6064
0.9968 0.7500 0.1342
```

=====

Entry 8:
Diffraction record for HfCrCuS4. The PXRD pattern is theoretical, not measured: it uses a structure optimized by DFT (GGA-PBE) and a wavelength of 1.5418 Å.
Peak positions follow from Bragg's law for the DFT cell and can differ from measured ones.

Most intense lines, 15° ≤ 2θ ≤ 90°, by angle:
15.2°, I = 47.6
20.5°, I = 52.3
26.1°, I = 87.7
27.1°, I = 58.5
30.2°, I = 33.7
38.0°, I = 100.0
38.1°, I = 49.6
40.5°, I = 26.5
48.8°, I = 46.8
53.6°, I = 32.7

Atomic structure:
```
HfCrCuS4
1.0
6.8387 0.0000 0.0000
0.0000 11.2523 0.0000
0.0000 0.0000 6.8108
Hf Cr Cu S
4 4 4 16
direct
0.0000 0.0735 0.0000
0.0000 0.2660 0.6339
0.0000 0.7340 0.1339
0.0000 0.9265 0.5000
0.5000 0.2567 0.6045
0.5000 0.4109 0.2366
0.5000 0.5891 0.7366
0.5000 0.7433 0.1045
0.0000 0.3947 0.2706
0.0000 0.6053 0.7706
0.5000 0.1394 0.9624
0.5000 0.8606 0.4624
0.0000 0.1300 0.3438
0.0000 0.3021 0.9804
0.0000 0.6979 0.4804
0.0000 0.8700 0.8438
0.2508 0.4048 0.5001
0.2508 0.5952 0.0001
0.2592 0.0970 0.7279
0.2592 0.9030 0.2279
0.5000 0.2082 0.2673
0.5000 0.3771 0.8865
0.5000 0.6229 0.3865
0.5000 0.7918 0.7673
0.7408 0.0970 0.7279
0.7408 0.9030 0.2279
0.7492 0.4048 0.5001
0.7492 0.5952 0.0001
```